(1)
Diffraction record for Ba2Li17Au3. The X-ray diffraction stick pattern is simulated, not measured: it uses the PBE geometry in Alexandria and copper Kα.
Peak positions follow from Bragg's law for the DFT cell and can differ from measured ones.

Atomic structure:
Lattice parameters (Å, degrees): 8.1701 8.1701 8.1701 84.21 84.21 84.21
Fractional coordinates of all 22 atoms:
Ba 0.1634 0.1634 0.1634
Ba 0.8366 0.8366 0.8366
Li 0.0000 0.5000 0.5000
Li 0.1698 0.1698 0.6590
Li 0.1698 0.6590 0.1698
Li 0.2341 0.5000 0.7659
Li 0.2341 0.7659 0.5000
Li 0.3410 0.8302 0.8302
Li 0.4093 0.4093 0.4093
Li 0.5000 0.0000 0.5000
Li 0.5000 0.2341 0.7659
Li 0.5000 0.5000 0.0000
Li 0.5000 0.7659 0.2341
Li 0.5907 0.5907 0.5907
Li 0.6590 0.1698 0.1698
Li 0.7659 0.2341 0.5000
Li 0.7659 0.5000 0.2341
Li 0.8302 0.3410 0.8302
Li 0.8302 0.8302 0.3410
Au 0.0000 0.0000 0.5000
Au 0.0000 0.5000 0.0000
Au 0.5000 0.0000 0.0000

Most intense lines, 15 to 90 degrees two-theta, by intensity:
| d [Å] | I/Imax |
| --- | --- |
| 5.171 | 100 |
| 2.420 | 82 |
| 2.739 | 74 |
| 4.537 | 64 |
| 4.047 | 52 |
| 1.880 | 47 |

---

(2)
Diffraction record for Sr3Zn2Ir4. The X-ray diffraction stick pattern is simulated, not measured: it uses the PBE geometry in Alexandria and copper Kα.
Peak positions follow from Bragg's law for the DFT cell and can differ from measured ones.

Atomic structure:
Lattice parameters (Å, degrees): 4.4234 6.0262 8.5581 101.62 90.04 111.53
Fractional coordinates of all 9 atoms:
Sr 0.0000 0.0000 0.0000
Sr 0.3715 0.7430 0.6240
Sr 0.6285 0.2570 0.3760
Zn 0.3355 0.6702 0.2322
Zn 0.6645 0.3298 0.7678
Ir 0.0778 0.1578 0.6305
Ir 0.2431 0.4859 0.9242
Ir 0.7569 0.5141 0.0758
Ir 0.9222 0.8422 0.3695

Most intense lines, 15 to 90 degrees two-theta, by intensity:
| d [Å] | I/Imax |
| --- | --- |
| 5.114 | 100 |
| 2.222 | 57 |
| 2.539 | 46 |
| 2.172 | 45 |
| 2.212 | 40 |
| 2.557 | 30 |

---

(3)
Diffraction record for K5BaI7. The X-ray diffraction stick pattern is simulated, not measured: it uses the PBE geometry in Alexandria and copper Kα.
Peak positions follow from Bragg's law for the DFT cell and can differ from measured ones.

Atomic structure:
Lattice parameters (Å, degrees): 4.9162 8.7991 29.4754 89.99 90.00 73.79
Fractional coordinates of all 26 atoms:
K 0.0000 0.0000 0.0000
K 0.0252 0.9499 0.2045
K 0.1738 0.6513 0.7791
K 0.2044 0.5897 0.4241
K 0.4501 0.0988 0.8541
K 0.4835 0.0323 0.3540
K 0.7291 0.5414 0.9241
K 0.7602 0.4794 0.2790
K 0.9087 0.1809 0.7046
K 0.9336 0.1310 0.5000
Ba 0.2614 0.4774 0.0926
Ba 0.6724 0.6533 0.5928
I 0.0278 0.9422 0.6042
I 0.0872 0.8250 0.8912
I 0.1191 0.7614 0.3156
I 0.2600 0.4783 0.6694
I 0.2860 0.4262 0.5323
I 0.3559 0.2881 0.9732
I 0.3955 0.2089 0.2452
I 0.5384 0.9217 0.7452
I 0.5776 0.8430 0.4733
I 0.6474 0.7051 0.0321
I 0.6739 0.6526 0.1693
I 0.8146 0.3695 0.8156
I 0.8464 0.3062 0.3912
I 0.9059 0.1887 0.1041

Most intense lines, 15 to 90 degrees two-theta, by intensity:
| d [Å] | I/Imax |
| --- | --- |
| 3.769 | 100 |
| 3.592 | 98 |
| 3.466 | 83 |
| 2.458 | 43 |
| 2.691 | 38 |
| 2.059 | 37 |